[1]
Computed XRD peak list of Sr2MnNbO6 for Cu Kα (λ = 1.5418 Å), from a cell relaxed with GGA+U.
Lines closer than 0.1° are merged.

Structural model:
a b c (Å): 5.586 5.586 5.708
angles (deg): 118.60 118.60 90.72
Element x y z (fractional)
Sr: 0.248 0.752 0.000
Sr: 0.752 0.248 0.000
Mn: 0.000 0.000 0.500
Nb: 0.500 0.500 0.500
O: 0.205 0.205 0.418
O: 0.246 0.754 0.500
O: 0.305 0.305 0.029
O: 0.695 0.695 0.971
O: 0.754 0.246 0.500
O: 0.795 0.795 0.582

Most intense lines, 15° ≤ 2θ ≤ 90°, by angle:
- 2θ 31.1, I 100
- 2θ 31.4, I 33
- 2θ 32.1, I 59
- 2θ 43.3, I 24
- 2θ 45.7, I 23
- 2θ 46.3, I 20
- 2θ 54.7, I 14
- 2θ 55.1, I 14
- 2θ 56.3, I 13
- 2θ 64.7, I 13

[2]
Computed XRD peak list of Li3Mn3CrO8 for Cu Kα (λ = 1.5418 Å), from a cell relaxed with GGA+U.
Lines closer than 0.1° are merged.

Structural model:
a b c (Å): 5.688 5.688 9.414
angles (deg): 90.00 90.00 120.05
Element x y z (fractional)
Li: 0.165 0.835 0.500
Li: 0.174 0.351 0.502
Li: 0.351 0.174 0.002
Li: 0.649 0.826 0.502
Li: 0.826 0.649 0.002
Li: 0.835 0.165 0.000
Mn: 0.167 0.339 0.234
Mn: 0.167 0.833 0.234
Mn: 0.339 0.167 0.734
Mn: 0.661 0.833 0.234
Mn: 0.833 0.167 0.734
Mn: 0.833 0.661 0.734
Cr: 0.335 0.665 0.958
Cr: 0.665 0.335 0.458
O: 0.001 0.999 0.624
O: 0.032 0.517 0.106
O: 0.162 0.318 0.854
O: 0.163 0.837 0.852
O: 0.318 0.162 0.354
O: 0.332 0.668 0.346
O: 0.483 0.968 0.106
O: 0.484 0.516 0.108
O: 0.516 0.484 0.608
O: 0.517 0.032 0.606
O: 0.668 0.332 0.846
O: 0.682 0.838 0.854
O: 0.837 0.163 0.352
O: 0.838 0.682 0.354
O: 0.968 0.483 0.606
O: 0.999 0.001 0.124

Most intense lines, 15° ≤ 2θ ≤ 90°, by angle:
- 2θ 18.9, I 55
- 2θ 20.4, I 100
- 2θ 26.2, I 33
- 2θ 33.9, I 35
- 2θ 36.9, I 45
- 2θ 37.8, I 54
- 2θ 41.4, I 42
- 2θ 46.9, I 78
- 2θ 62.1, I 45
- 2θ 65.7, I 42

[3]
Computed XRD peak list of LiVPO5 for Cu Kα (λ = 1.5418 Å), from a cell relaxed with GGA+U.
Lines closer than 0.1° are merged.

Structural model:
a b c (Å): 7.967 7.967 5.147
angles (deg): 100.93 100.93 44.14
Element x y z (fractional)
Li: 0.131 0.131 0.057
Li: 0.869 0.869 0.943
V: 0.227 0.773 0.500
V: 0.773 0.227 0.500
P: 0.357 0.357 0.282
P: 0.643 0.643 0.718
O: 0.047 0.047 0.318
O: 0.185 0.619 0.183
O: 0.255 0.255 0.240
O: 0.381 0.815 0.817
O: 0.418 0.418 0.580
O: 0.582 0.582 0.420
O: 0.619 0.185 0.183
O: 0.745 0.745 0.760
O: 0.815 0.381 0.817
O: 0.953 0.953 0.682

Most intense lines, 15° ≤ 2θ ≤ 90°, by angle:
- 2θ 17.6, I 40
- 2θ 19.3, I 100
- 2θ 22.9, I 32
- 2θ 23.7, I 24
- 2θ 24.8, I 18
- 2θ 32.4, I 17
- 2θ 33.3, I 11
- 2θ 40.9, I 32
- 2θ 49.0, I 17
- 2θ 56.3, I 11

[4]
Computed XRD peak list of Rb4WO5 for Cu Kα (λ = 1.5418 Å), from a cell relaxed with GGA+U.
Lines closer than 0.1° are merged.

Structural model:
a b c (Å): 6.650 10.849 17.948
angles (deg): 94.28 92.38 96.46
Element x y z (fractional)
Rb: 0.009 0.012 0.180
Rb: 0.057 0.580 0.416
Rb: 0.075 0.192 0.004
Rb: 0.075 0.351 0.219
Rb: 0.231 0.538 0.058
Rb: 0.244 0.954 0.429
Rb: 0.267 0.404 0.853
Rb: 0.278 0.114 0.654
Rb: 0.435 0.910 0.094
Rb: 0.447 0.499 0.680
Rb: 0.450 0.162 0.289
Rb: 0.459 0.297 0.495
Rb: 0.541 0.703 0.505
Rb: 0.550 0.838 0.711
Rb: 0.553 0.501 0.320
Rb: 0.565 0.090 0.906
Rb: 0.722 0.886 0.346
Rb: 0.733 0.596 0.147
Rb: 0.756 0.046 0.571
Rb: 0.769 0.462 0.942
Rb: 0.925 0.649 0.781
Rb: 0.925 0.808 0.996
Rb: 0.943 0.420 0.584
Rb: 0.991 0.988 0.820
W: 0.064 0.774 0.593
W: 0.218 0.735 0.249
W: 0.400 0.743 0.903
W: 0.600 0.257 0.097
W: 0.782 0.265 0.751
W: 0.936 0.226 0.407
O: 0.039 0.305 0.713
O: 0.039 0.877 0.681
O: 0.065 0.185 0.496
O: 0.092 0.759 0.151
O: 0.150 0.640 0.924
O: 0.174 0.334 0.382
O: 0.210 0.635 0.584
O: 0.278 0.889 0.925
O: 0.313 0.879 0.573
O: 0.340 0.600 0.207
O: 0.347 0.900 0.253
O: 0.350 0.162 0.123
O: 0.354 0.718 0.346
O: 0.375 0.663 0.806
O: 0.464 0.318 0.015
O: 0.536 0.682 0.985
O: 0.625 0.337 0.194
O: 0.646 0.282 0.654
O: 0.650 0.838 0.877
O: 0.653 0.100 0.747
O: 0.660 0.400 0.793
O: 0.687 0.121 0.427
O: 0.722 0.111 0.075
O: 0.790 0.365 0.416
O: 0.826 0.666 0.618
O: 0.850 0.360 0.076
O: 0.908 0.241 0.849
O: 0.935 0.815 0.504
O: 0.961 0.123 0.319
O: 0.961 0.695 0.287

Most intense lines, 15° ≤ 2θ ≤ 90°, by angle:
- 2θ 16.5, I 50
- 2θ 27.8, I 93
- 2θ 27.9, I 95
- 2θ 28.0, I 89
- 2θ 28.2, I 81
- 2θ 29.2, I 100
- 2θ 33.7, I 78
- 2θ 34.2, I 73
- 2θ 45.2, I 68
- 2θ 50.8, I 25

[5]
Computed XRD peak list of FeOF for Cu Kα (λ = 1.5418 Å), from a cell relaxed with GGA+U.
Lines closer than 0.1° are merged.

Structural model:
a b c (Å): 4.763 4.770 12.348
angles (deg): 90.00 90.08 90.00
Element x y z (fractional)
Fe: 0.202 0.000 0.189
Fe: 0.209 0.990 0.937
Fe: 0.223 0.021 0.686
Fe: 0.286 0.958 0.438
Fe: 0.714 0.458 0.562
Fe: 0.777 0.521 0.314
Fe: 0.791 0.490 0.063
Fe: 0.798 0.500 0.811
O: 0.050 0.809 0.063
O: 0.059 0.813 0.809
O: 0.067 0.806 0.316
O: 0.431 0.169 0.562
O: 0.569 0.669 0.438
O: 0.933 0.306 0.684
O: 0.941 0.313 0.191
O: 0.950 0.309 0.937
F: 0.049 0.785 0.562
F: 0.446 0.199 0.064
F: 0.447 0.202 0.812
F: 0.454 0.190 0.312
F: 0.546 0.690 0.688
F: 0.553 0.702 0.188
F: 0.554 0.699 0.936
F: 0.951 0.285 0.438

Most intense lines, 15° ≤ 2θ ≤ 90°, by angle:
- 2θ 26.4, I 100
- 2θ 34.6, I 53
- 2θ 37.7, I 7
- 2θ 39.6, I 19
- 2θ 52.1, I 43
- 2θ 52.2, I 13
- 2θ 54.4, I 15
- 2θ 59.9, I 9
- 2θ 66.1, I 15
- 2θ 66.6, I 12

[6]
Computed XRD peak list of V4Cu13O26F4 for Cu Kα (λ = 1.5418 Å), from a cell relaxed with GGA+U.
Lines closer than 0.1° are merged.

Structural model:
a b c (Å): 5.642 10.435 10.985
angles (deg): 107.78 103.28 96.67
Element x y z (fractional)
V: 0.008 0.301 0.156
V: 0.240 0.697 0.347
V: 0.760 0.303 0.653
V: 0.992 0.699 0.844
Cu: 0.000 0.000 0.500
Cu: 0.000 0.500 0.500
Cu: 0.138 0.982 0.784
Cu: 0.248 0.500 0.002
Cu: 0.293 0.009 0.083
Cu: 0.370 0.496 0.750
Cu: 0.452 0.977 0.330
Cu: 0.500 0.500 0.500
Cu: 0.548 0.023 0.670
Cu: 0.630 0.504 0.250
Cu: 0.707 0.991 0.917
Cu: 0.752 0.500 0.998
Cu: 0.862 0.018 0.216
O: 0.007 0.607 0.962
O: 0.052 0.344 0.750
O: 0.074 0.890 0.908
O: 0.146 0.945 0.198
O: 0.173 0.632 0.743
O: 0.227 0.066 0.664
O: 0.258 0.610 0.471
O: 0.265 0.424 0.564
O: 0.295 0.345 0.255
O: 0.330 0.879 0.425
O: 0.420 0.634 0.242
O: 0.435 0.920 0.762
O: 0.483 0.575 0.937
O: 0.517 0.425 0.063
O: 0.565 0.080 0.238
O: 0.580 0.366 0.758
O: 0.670 0.121 0.575
O: 0.705 0.655 0.745
O: 0.735 0.576 0.436
O: 0.742 0.390 0.529
O: 0.773 0.934 0.336
O: 0.827 0.368 0.257
O: 0.854 0.055 0.802
O: 0.926 0.110 0.092
O: 0.948 0.656 0.250
O: 0.993 0.393 0.038
F: 0.142 0.134 0.449
F: 0.411 0.121 0.997
F: 0.589 0.879 0.003
F: 0.858 0.866 0.551

Most intense lines, 15° ≤ 2θ ≤ 90°, by angle:
- 2θ 18.2, I 100
- 2θ 22.5, I 18
- 2θ 27.1, I 10
- 2θ 29.4, I 11
- 2θ 32.2, I 13
- 2θ 35.1, I 21
- 2θ 35.3, I 15
- 2θ 36.7, I 11
- 2θ 38.8, I 15
- 2θ 62.9, I 10

[7]
Computed XRD peak list of ZnFe2O4 for Cu Kα (λ = 1.5418 Å), from a cell relaxed with GGA+U.
Lines closer than 0.1° are merged.

Structural model:
a b c (Å): 6.058 6.058 14.756
angles (deg): 90.38 90.38 59.93
Element x y z (fractional)
Zn: 0.000 0.000 0.000
Zn: 0.165 0.165 0.166
Zn: 0.501 0.501 0.501
Zn: 0.669 0.669 0.666
Zn: 0.834 0.834 0.833
Zn: 0.998 0.998 0.375
Fe: 0.002 0.504 0.499
Fe: 0.007 0.007 0.621
Fe: 0.168 0.668 0.167
Fe: 0.330 0.330 0.711
Fe: 0.333 0.836 0.833
Fe: 0.336 0.336 0.336
Fe: 0.339 0.339 0.956
Fe: 0.504 0.002 0.499
Fe: 0.662 0.662 0.043
Fe: 0.668 0.168 0.167
Fe: 0.676 0.676 0.293
Fe: 0.836 0.333 0.833
O: 0.007 0.007 0.755
O: 0.018 0.502 0.250
O: 0.162 0.162 0.912
O: 0.171 0.680 0.913
O: 0.173 0.639 0.419
O: 0.181 0.181 0.419
O: 0.324 0.827 0.087
O: 0.329 0.329 0.580
O: 0.337 0.337 0.090
O: 0.347 0.839 0.577
O: 0.488 0.488 0.249
O: 0.499 0.987 0.754
O: 0.502 0.018 0.250
O: 0.507 0.507 0.755
O: 0.639 0.173 0.419
O: 0.662 0.662 0.911
O: 0.674 0.674 0.420
O: 0.680 0.171 0.913
O: 0.827 0.324 0.087
O: 0.830 0.830 0.577
O: 0.837 0.837 0.089
O: 0.839 0.347 0.577
O: 0.987 0.499 0.754
O: 0.995 0.995 0.239

Most intense lines, 15° ≤ 2θ ≤ 90°, by angle:
- 2θ 29.5, I 62
- 2θ 34.7, I 88
- 2θ 34.8, I 78
- 2θ 34.9, I 100
- 2θ 42.4, I 37
- 2θ 55.7, I 25
- 2θ 55.9, I 30
- 2θ 56.1, I 26
- 2θ 61.2, I 60
- 2θ 61.3, I 40

[8]
Computed XRD peak list of Li9Mn2Co5O16 for Cu Kα (λ = 1.5418 Å), from a cell relaxed with GGA+U.
Lines closer than 0.1° are merged.

Structural model:
a b c (Å): 5.000 7.775 7.800
angles (deg): 97.94 101.87 102.42
Element x y z (fractional)
Li: 0.000 0.000 0.000
Li: 0.001 0.123 0.365
Li: 0.005 0.492 0.491
Li: 0.011 0.758 0.252
Li: 0.481 0.365 0.608
Li: 0.497 0.623 0.372
Li: 0.511 0.118 0.870
Li: 0.518 0.879 0.127
Li: 0.991 0.241 0.734
Mn: 0.503 0.242 0.248
Mn: 0.504 0.492 0.998
Co: 0.004 0.369 0.123
Co: 0.006 0.623 0.870
Co: 0.012 0.885 0.613
Co: 0.505 0.752 0.739
Co: 0.511 0.997 0.487
O: 0.251 0.106 0.618
O: 0.252 0.599 0.110
O: 0.254 0.366 0.346
O: 0.254 0.751 0.500
O: 0.257 0.855 0.862
O: 0.262 0.498 0.766
O: 0.263 0.263 0.013
O: 0.277 0.014 0.245
O: 0.724 0.247 0.478
O: 0.742 0.874 0.381
O: 0.745 0.478 0.228
O: 0.747 0.992 0.738
O: 0.748 0.724 0.992
O: 0.752 0.145 0.127
O: 0.756 0.636 0.633
O: 0.759 0.382 0.892

Most intense lines, 15° ≤ 2θ ≤ 90°, by angle:
- 2θ 18.3, I 100
- 2θ 35.9, I 14
- 2θ 36.1, I 13
- 2θ 36.5, I 12
- 2θ 37.6, I 7
- 2θ 43.3, I 28
- 2θ 43.7, I 27
- 2θ 44.1, I 26
- 2θ 47.7, I 9
- 2θ 63.1, I 14

Please write out number 4 again, unchanged.
Computed XRD peak list of Rb4WO5 for Cu Kα (λ = 1.5418 Å), from a cell relaxed with GGA+U.
Lines closer than 0.1° are merged.

Structural model:
a b c (Å): 6.650 10.849 17.948
angles (deg): 94.28 92.38 96.46
Element x y z (fractional)
Rb: 0.009 0.012 0.180
Rb: 0.057 0.580 0.416
Rb: 0.075 0.192 0.004
Rb: 0.075 0.351 0.219
Rb: 0.231 0.538 0.058
Rb: 0.244 0.954 0.429
Rb: 0.267 0.404 0.853
Rb: 0.278 0.114 0.654
Rb: 0.435 0.910 0.094
Rb: 0.447 0.499 0.680
Rb: 0.450 0.162 0.289
Rb: 0.459 0.297 0.495
Rb: 0.541 0.703 0.505
Rb: 0.550 0.838 0.711
Rb: 0.553 0.501 0.320
Rb: 0.565 0.090 0.906
Rb: 0.722 0.886 0.346
Rb: 0.733 0.596 0.147
Rb: 0.756 0.046 0.571
Rb: 0.769 0.462 0.942
Rb: 0.925 0.649 0.781
Rb: 0.925 0.808 0.996
Rb: 0.943 0.420 0.584
Rb: 0.991 0.988 0.820
W: 0.064 0.774 0.593
W: 0.218 0.735 0.249
W: 0.400 0.743 0.903
W: 0.600 0.257 0.097
W: 0.782 0.265 0.751
W: 0.936 0.226 0.407
O: 0.039 0.305 0.713
O: 0.039 0.877 0.681
O: 0.065 0.185 0.496
O: 0.092 0.759 0.151
O: 0.150 0.640 0.924
O: 0.174 0.334 0.382
O: 0.210 0.635 0.584
O: 0.278 0.889 0.925
O: 0.313 0.879 0.573
O: 0.340 0.600 0.207
O: 0.347 0.900 0.253
O: 0.350 0.162 0.123
O: 0.354 0.718 0.346
O: 0.375 0.663 0.806
O: 0.464 0.318 0.015
O: 0.536 0.682 0.985
O: 0.625 0.337 0.194
O: 0.646 0.282 0.654
O: 0.650 0.838 0.877
O: 0.653 0.100 0.747
O: 0.660 0.400 0.793
O: 0.687 0.121 0.427
O: 0.722 0.111 0.075
O: 0.790 0.365 0.416
O: 0.826 0.666 0.618
O: 0.850 0.360 0.076
O: 0.908 0.241 0.849
O: 0.935 0.815 0.504
O: 0.961 0.123 0.319
O: 0.961 0.695 0.287

Most intense lines, 15° ≤ 2θ ≤ 90°, by angle:
- 2θ 16.5, I 50
- 2θ 27.8, I 93
- 2θ 27.9, I 95
- 2θ 28.0, I 89
- 2θ 28.2, I 81
- 2θ 29.2, I 100
- 2θ 33.7, I 78
- 2θ 34.2, I 73
- 2θ 45.2, I 68
- 2θ 50.8, I 25